Starting from DFT lattice parameters and positions (GGA-PBE), the X-ray diffraction stick pattern of Nd3Sc was calculated for Cu Kα, 1.54184 Å.

Cell and atoms:
Lattice parameters (Å, degrees): 7.2613 7.2613 5.7343 90.00 90.00 120.00
Sites, in units of the cell vectors:
1 Nd 0.1704 0.3409 0.2500
2 Nd 0.1704 0.8296 0.2500
3 Nd 0.3409 0.1704 0.7500
4 Nd 0.6591 0.8296 0.2500
5 Nd 0.8296 0.1704 0.7500
6 Nd 0.8296 0.6591 0.7500
7 Sc 0.3333 0.6667 0.7500
8 Sc 0.6667 0.3333 0.2500

Principal peaks in the range 2θ from 15° to 90°, low angle first:
2θ 20.97, d 4.237, intensity 15, hkl 1 0 1; 2θ 28.39, d 3.144, intensity 24, hkl 2 0 0; 2θ 31.20, d 2.867, intensity 25, hkl 0 0 2; 2θ 32.48, d 2.757, intensity 100, hkl 2 0 1; 2θ 42.68, d 2.119, intensity 16, hkl 2 0 2; 2θ 50.26, d 1.815, intensity 19, hkl 2 2 0; 2θ 56.33, d 1.633, intensity 21, hkl 2 0 3; 2θ 60.35, d 1.534, intensity 22, hkl 2 2 2; 2θ 61.12, d 1.516, intensity 16, hkl 4 0 1; 2θ 82.98, d 1.164, intensity 13, hkl 4 2 1

---

Starting from DFT lattice parameters and positions (GGA-PBE), the X-ray diffraction stick pattern of K2YRu was calculated for Cu Kα, 1.54184 Å.

Cell and atoms:
Lattice parameters (Å, degrees): 21.3409 3.4795 4.2828 90.00 101.41 90.00
Sites, in units of the cell vectors:
1 K 0.1522 0.0000 0.1492
2 K 0.3478 0.5000 0.8508
3 K 0.6522 0.5000 0.1492
4 K 0.8478 0.0000 0.8508
5 Y 0.0000 0.0000 0.5000
6 Y 0.5000 0.5000 0.5000
7 Ru 0.0000 0.5000 0.0000
8 Ru 0.5000 0.0000 0.0000

Principal peaks in the range 2θ from 15° to 90°, low angle first:
2θ 16.95, d 5.230, intensity 41, hkl 4 0 0; 2θ 25.55, d 3.487, intensity 64, hkl 6 0 0; 2θ 33.17, d 2.701, intensity 12, hkl 1 1 -1; 2θ 34.29, d 2.615, intensity 100, hkl 3 1 -1; 2θ 37.48, d 2.400, intensity 85, hkl 3 1 1; 2θ 42.23, d 2.140, intensity 25, hkl 2 0 -2; 2θ 43.12, d 2.098, intensity 12, hkl 0 0 2; 2θ 48.46, d 1.879, intensity 20, hkl 9 1 -1; 2θ 55.52, d 1.655, intensity 19, hkl 9 1 1; 2θ 55.64, d 1.652, intensity 18, hkl 11 1 -1